Starting from a cell relaxed with PBE, the powder X-ray diffraction pattern of Y2HoBi was computed for Cu Kα X-rays.
Neutral-atom scattering factors, no anomalous dispersion.

```
Y2HoBi
1.0
2.070 -6.242 0.000
2.070 6.242 0.000
0.000 0.000 9.662
Y Ho Bi
4 2 2
Direct
0.133 0.867 0.546
0.133 0.867 0.954
0.867 0.133 0.046
0.867 0.133 0.454
0.443 0.557 0.750
0.557 0.443 0.250
0.257 0.743 0.250
0.743 0.257 0.750
```

Principal peaks in the range 15° ≤ 2θ ≤ 90°, low angle first:
2θ = 18.36°, 4.831 Å, I = 30; 2θ = 29.30°, 3.048 Å, I = 61; 2θ = 31.87°, 2.808 Å, I = 100; 2θ = 34.20°, 2.622 Å, I = 41; 2θ = 36.06°, 2.491 Å, I = 32; 2θ = 57.05°, 1.614 Å, I = 38


Starting from a cell relaxed with PBE, the powder X-ray diffraction pattern of Bi6I was computed for Cu Kα X-rays.
Neutral-atom scattering factors, no anomalous dispersion.

```
Bi6I
1.0
-4.385 4.385 4.385
4.385 -4.385 4.385
4.385 4.385 -4.385
Bi I
6 1
Direct
0.250 0.500 0.750
0.250 0.750 0.500
0.500 0.250 0.750
0.500 0.750 0.250
0.750 0.250 0.500
0.750 0.500 0.250
0.000 0.000 0.000
```

Principal peaks in the range 15° ≤ 2θ ≤ 90°, low angle first:
2θ = 20.25°, 4.385 Å, I = 41; 2θ = 24.87°, 3.580 Å, I = 100; 2θ = 35.46°, 2.532 Å, I = 58; 2θ = 38.41°, 2.344 Å, I = 65; 2θ = 41.17°, 2.192 Å, I = 44; 2θ = 59.64°, 1.550 Å, I = 30


Starting from a cell relaxed with PBE, the powder X-ray diffraction pattern of BiI was computed for Cu Kα X-rays.
Neutral-atom scattering factors, no anomalous dispersion.

```
BiI
1.0
10.510 0.000 0.000
0.000 10.510 0.000
0.000 0.000 3.641
Bi I
4 4
Direct
0.160 0.160 0.000
0.340 0.660 0.500
0.660 0.340 0.500
0.840 0.840 0.000
0.139 0.861 0.000
0.361 0.361 0.500
0.639 0.639 0.500
0.861 0.139 0.000
```

Principal peaks in the range 15° ≤ 2θ ≤ 90°, low angle first:
2θ = 16.87°, 5.255 Å, I = 37; 2θ = 25.90°, 3.440 Å, I = 84; 2θ = 26.82°, 3.324 Å, I = 68; 2θ = 35.56°, 2.525 Å, I = 100; 2θ = 36.26°, 2.477 Å, I = 43; 2θ = 50.11°, 1.820 Å, I = 53


Starting from a cell relaxed with PBE, the powder X-ray diffraction pattern of BiI was computed for Cu Kα X-rays.
Neutral-atom scattering factors, no anomalous dispersion.

```
BiI
1.0
7.886 -2.205 0.000
7.886 2.205 0.000
-3.062 0.000 21.516
Bi I
8 8
Direct
0.000 0.000 0.112
0.000 0.000 0.888
0.061 0.061 0.254
0.248 0.248 0.612
0.306 0.306 0.754
0.694 0.694 0.246
0.752 0.752 0.388
0.939 0.939 0.746
0.130 0.130 0.430
0.371 0.371 0.143
0.378 0.378 0.929
0.383 0.383 0.362
0.617 0.617 0.638
0.622 0.622 0.071
0.629 0.629 0.857
0.870 0.870 0.570
```

Principal peaks in the range 15° ≤ 2θ ≤ 90°, low angle first:
2θ = 24.82°, 3.587 Å, I = 26; 2θ = 25.00°, 3.563 Å, I = 63; 2θ = 26.45°, 3.370 Å, I = 100; 2θ = 27.03°, 3.298 Å, I = 32; 2θ = 40.90°, 2.206 Å, I = 47; 2θ = 48.55°, 1.875 Å, I = 25


Starting from a cell relaxed with PBE, the powder X-ray diffraction pattern of BiI3 was computed for Cu Kα X-rays.
Neutral-atom scattering factors, no anomalous dispersion.

```
BiI3
1.0
3.905 2.255 7.683
-3.905 2.255 7.683
0.000 -4.510 7.683
Bi I
2 6
Direct
0.166 0.166 0.166
0.834 0.834 0.834
0.066 0.775 0.422
0.225 0.578 0.934
0.422 0.066 0.775
0.578 0.934 0.225
0.775 0.422 0.066
0.934 0.225 0.578
```

Principal peaks in the range 15° ≤ 2θ ≤ 90°, low angle first:
2θ = 25.59°, 3.481 Å, I = 100; 2θ = 32.70°, 2.739 Å, I = 59; 2θ = 39.99°, 2.255 Å, I = 35; 2θ = 42.20°, 2.142 Å, I = 30; 2θ = 48.08°, 1.893 Å, I = 17; 2θ = 63.64°, 1.462 Å, I = 17


Starting from a cell relaxed with PBE, the powder X-ray diffraction pattern of In2BiI5 was computed for Cu Kα X-rays.
Neutral-atom scattering factors, no anomalous dispersion.

```
In2BiI5
1.0
6.066 -6.066 0.000
6.066 6.066 0.000
-6.049 0.000 6.398
In Bi I
2 1 5
Direct
0.249 0.751 0.000
0.751 0.249 0.000
0.090 0.090 0.677
0.379 0.875 0.752
0.380 0.380 0.755
0.867 0.867 0.228
0.873 0.873 0.749
0.875 0.379 0.752
```

Principal peaks in the range 15° ≤ 2θ ≤ 90°, low angle first:
2θ = 20.17°, 4.402 Å, I = 44; 2θ = 24.22°, 3.675 Å, I = 39; 2θ = 24.99°, 3.563 Å, I = 59; 2θ = 29.45°, 3.033 Å, I = 100; 2θ = 31.62°, 2.830 Å, I = 39; 2θ = 32.67°, 2.741 Å, I = 46


Starting from a cell relaxed with PBE, the powder X-ray diffraction pattern of In2BiI6 was computed for Cu Kα X-rays.
Neutral-atom scattering factors, no anomalous dispersion.

```
In2BiI6
1.0
8.704 -7.283 0.000
8.704 7.283 0.000
-2.922 0.000 7.419
In Bi I
4 2 12
Direct
0.098 0.309 0.210
0.309 0.098 0.710
0.691 0.902 0.290
0.902 0.691 0.790
0.413 0.587 0.250
0.587 0.413 0.750
0.071 0.213 0.513
0.158 0.610 0.005
0.213 0.071 0.013
0.312 0.463 0.480
0.390 0.842 0.495
0.463 0.312 0.980
0.537 0.688 0.020
0.610 0.158 0.505
0.688 0.537 0.520
0.787 0.929 0.987
0.842 0.390 0.995
0.929 0.787 0.487
```

Principal peaks in the range 15° ≤ 2θ ≤ 90°, low angle first:
2θ = 17.06°, 5.197 Å, I = 77; 2θ = 17.51°, 5.065 Å, I = 83; 2θ = 23.62°, 3.766 Å, I = 82; 2θ = 25.96°, 3.433 Å, I = 100; 2θ = 30.06°, 2.972 Å, I = 90; 2θ = 37.05°, 2.426 Å, I = 51


Starting from a cell relaxed with PBE, the powder X-ray diffraction pattern of InBiIO6 was computed for Cu Kα X-rays.
Neutral-atom scattering factors, no anomalous dispersion.

```
InBiIO6
1.0
5.537 0.000 0.000
-2.768 4.795 0.000
0.000 0.000 9.955
In Bi I O
2 2 2 12
Direct
0.333 0.667 0.250
0.667 0.333 0.750
0.000 0.000 0.000
0.000 0.000 0.500
0.333 0.667 0.750
0.667 0.333 0.250
0.024 0.368 0.637
0.024 0.656 0.863
0.344 0.368 0.863
0.344 0.976 0.637
0.368 0.024 0.137
0.368 0.344 0.363
0.632 0.656 0.637
0.632 0.976 0.863
0.656 0.024 0.363
0.656 0.632 0.137
0.976 0.344 0.137
0.976 0.632 0.363
```

Principal peaks in the range 15° ≤ 2θ ≤ 90°, low angle first:
2θ = 25.80°, 3.453 Å, I = 100; 2θ = 32.34°, 2.768 Å, I = 42; 2θ = 41.82°, 2.160 Å, I = 27; 2θ = 49.23°, 1.851 Å, I = 39; 2θ = 53.83°, 1.703 Å, I = 27; 2θ = 57.67°, 1.598 Å, I = 14


Starting from a cell relaxed with PBE, the powder X-ray diffraction pattern of In2BiSe4I was computed for Cu Kα X-rays.
Neutral-atom scattering factors, no anomalous dispersion.

```
In2BiSe4I
1.0
14.572 0.000 0.000
0.000 4.163 0.000
0.000 0.000 17.456
In Bi Se I
8 4 16 4
Direct
0.128 0.250 0.148
0.250 0.250 0.512
0.250 0.750 0.012
0.372 0.750 0.648
0.628 0.250 0.352
0.750 0.250 0.988
0.750 0.750 0.488
0.872 0.750 0.852
0.045 0.750 0.397
0.455 0.250 0.897
0.545 0.750 0.103
0.955 0.250 0.603
0.099 0.750 0.547
0.129 0.250 0.997
0.177 0.250 0.371
0.237 0.750 0.172
0.263 0.250 0.672
0.323 0.750 0.871
0.371 0.750 0.497
0.401 0.250 0.047
0.599 0.750 0.953
0.629 0.250 0.503
0.677 0.250 0.129
0.737 0.750 0.328
0.763 0.250 0.828
0.823 0.750 0.629
0.871 0.750 0.003
0.901 0.250 0.453
0.036 0.750 0.774
0.464 0.250 0.274
0.536 0.750 0.726
0.964 0.250 0.226
```

Principal peaks in the range 15° ≤ 2θ ≤ 90°, low angle first:
2θ = 24.46°, 3.639 Å, I = 39; 2θ = 26.26°, 3.393 Å, I = 48; 2θ = 28.70°, 3.110 Å, I = 100; 2θ = 33.13°, 2.704 Å, I = 38; 2θ = 43.47°, 2.082 Å, I = 35; 2θ = 46.06°, 1.971 Å, I = 38


Starting from a cell relaxed with PBE, the powder X-ray diffraction pattern of InSn2BiI8 was computed for Cu Kα X-rays.
Neutral-atom scattering factors, no anomalous dispersion.

```
InSn2BiI8
1.0
7.437 0.000 0.000
0.000 9.444 0.000
-0.100 0.000 7.807
In Sn Bi I
1 2 1 8
Direct
0.000 0.000 0.000
0.500 0.250 0.500
0.500 0.750 0.500
0.000 0.500 0.000
0.239 0.500 0.671
0.251 0.270 0.162
0.251 0.730 0.162
0.276 0.000 0.647
0.724 0.000 0.353
0.749 0.270 0.838
0.749 0.730 0.838
0.761 0.500 0.329
```

Principal peaks in the range 15° ≤ 2θ ≤ 90°, low angle first:
2θ = 16.36°, 5.420 Å, I = 54; 2θ = 25.01°, 3.560 Å, I = 63; 2θ = 25.15°, 3.541 Å, I = 100; 2θ = 32.62°, 2.745 Å, I = 74; 2θ = 32.84°, 2.727 Å, I = 64; 2θ = 39.54°, 2.279 Å, I = 83


Starting from a cell relaxed with PBE, the powder X-ray diffraction pattern of Zr2InBiI was computed for Cu Kα X-rays.
Neutral-atom scattering factors, no anomalous dispersion.

```
Zr2InBiI
1.0
5.577 0.000 0.000
0.000 5.577 0.000
0.000 0.000 6.304
Zr In Bi I
2 1 1 1
Direct
0.000 0.500 0.000
0.500 0.000 0.000
0.000 0.000 0.500
0.500 0.500 0.000
0.500 0.500 0.500
```

Principal peaks in the range 15° ≤ 2θ ≤ 90°, low angle first:
2θ = 15.89°, 5.577 Å, I = 61; 2θ = 21.27°, 4.177 Å, I = 52; 2θ = 28.31°, 3.152 Å, I = 69; 2θ = 32.10°, 2.789 Å, I = 100; 2θ = 43.32°, 2.089 Å, I = 87; 2θ = 54.92°, 1.672 Å, I = 43


Starting from a cell relaxed with PBE, the powder X-ray diffraction pattern of KRb2BiI6 was computed for Cu Kα X-rays.
Neutral-atom scattering factors, no anomalous dispersion.

```
KRb2BiI6
1.0
0.000 6.440 6.440
6.440 0.000 6.440
6.440 6.440 0.000
K Rb Bi I
1 2 1 6
Direct
0.000 0.000 0.000
0.250 0.250 0.250
0.750 0.750 0.750
0.500 0.500 0.500
0.261 0.261 0.739
0.261 0.739 0.261
0.261 0.739 0.739
0.739 0.261 0.261
0.739 0.261 0.739
0.739 0.739 0.261
```

Principal peaks in the range 15° ≤ 2θ ≤ 90°, low angle first:
2θ = 23.93°, 3.718 Å, I = 65; 2θ = 27.71°, 3.220 Å, I = 100; 2θ = 39.58°, 2.277 Å, I = 75; 2θ = 46.79°, 1.942 Å, I = 29; 2θ = 49.00°, 1.859 Å, I = 26; 2θ = 64.74°, 1.440 Å, I = 33